Record 1
Theoretical X-ray diffraction stick pattern
Compound: PtN2Cl2
Radiation: Cu Kα (weighted mean of Kα1 and Kα2)
Structure: a crystal structure in the Materials Project, relaxed with GGA-PBE
No peak broadening, texture or thermal motion is included.

Structural model:
```
PtN2Cl2
1.0
5.373 0.000 0.000
0.000 5.682 0.000
-1.120 0.000 7.315
Pt N Cl
2 4 4
direct
0.000 0.000 0.000
0.000 0.500 0.500
0.216 0.163 0.167
0.216 0.337 0.667
0.784 0.663 0.333
0.784 0.837 0.833
0.287 0.686 0.023
0.287 0.814 0.523
0.713 0.186 0.477
0.713 0.314 0.977
```

Most intense lines, 2θ = 15–90°, low angle first:
two_theta, I_rel
16.69, 83
19.78, 100
24.34, 66
24.76, 89
27.18, 59
27.44, 38
35.84, 32
37.73, 32
40.22, 27
41.07, 22

Record 2
Theoretical X-ray diffraction stick pattern
Compound: PtN2Cl2
Radiation: Cu Kα (weighted mean of Kα1 and Kα2)
Structure: a crystal structure in the Materials Project, relaxed with GGA-PBE
No peak broadening, texture or thermal motion is included.

Structural model:
```
PtN2Cl2
1.0
5.209 0.000 0.000
0.000 9.202 0.000
0.000 0.000 9.425
Pt N Cl
4 8 8
direct
0.000 0.249 0.000
0.000 0.750 0.506
0.500 0.250 0.006
0.500 0.751 0.500
0.000 0.533 0.477
0.000 0.740 0.703
0.000 0.759 0.296
0.000 0.968 0.496
0.500 0.032 0.996
0.500 0.241 0.796
0.500 0.260 0.203
0.500 0.467 0.977
0.000 0.239 0.755
0.000 0.260 0.245
0.000 0.500 0.987
0.000 0.998 0.006
0.500 0.002 0.506
0.500 0.500 0.487
0.500 0.740 0.745
0.500 0.761 0.255
```

Most intense lines, 2θ = 15–90°, low angle first:
two_theta, I_rel
18.83, 100
19.29, 94
30.06, 56
30.65, 59
34.43, 51
37.12, 78
38.19, 35
39.16, 34
46.34, 35
46.76, 37

Record 3
Theoretical X-ray diffraction stick pattern
Compound: PtN2Cl2
Radiation: Cu Kα (weighted mean of Kα1 and Kα2)
Structure: a crystal structure in the Materials Project, relaxed with GGA-PBE
No peak broadening, texture or thermal motion is included.

Structural model:
```
PtN2Cl2
1.0
6.014 0.000 0.000
-0.800 6.146 0.000
-1.612 -3.252 6.361
Pt N Cl
2 4 4
direct
0.000 0.000 0.000
0.000 0.000 0.500
0.004 0.012 0.244
0.270 0.228 0.515
0.730 0.772 0.485
0.996 0.988 0.756
0.303 0.438 0.302
0.320 0.263 0.969
0.680 0.737 0.031
0.697 0.562 0.698
```

Most intense lines, 2θ = 15–90°, low angle first:
two_theta, I_rel
15.59, 63
16.20, 54
19.54, 100
25.20, 39
27.24, 15
28.05, 20
31.68, 14
32.05, 19
35.97, 13
39.16, 15

Record 4
Theoretical X-ray diffraction stick pattern
Compound: RePtN4Cl6
Radiation: Cu Kα (weighted mean of Kα1 and Kα2)
Structure: a crystal structure in the Materials Project, relaxed with GGA-PBE
No peak broadening, texture or thermal motion is included.

Structural model:
```
RePtN4Cl6
1.0
5.641 -5.379 0.000
5.641 5.379 0.000
0.000 0.000 10.000
Re Pt N Cl
2 2 8 12
direct
0.000 0.000 0.000
0.500 0.500 0.500
0.000 0.000 0.500
0.500 0.500 0.000
0.019 0.218 0.421
0.218 0.019 0.579
0.282 0.481 0.079
0.481 0.282 0.921
0.519 0.718 0.079
0.718 0.519 0.921
0.782 0.981 0.421
0.981 0.782 0.579
0.065 0.223 0.863
0.181 0.819 0.879
0.223 0.065 0.137
0.277 0.435 0.637
0.319 0.681 0.379
0.435 0.277 0.363
0.565 0.723 0.637
0.681 0.319 0.621
0.723 0.565 0.363
0.777 0.935 0.863
0.819 0.181 0.121
0.935 0.777 0.137
```

Most intense lines, 2θ = 15–90°, low angle first:
two_theta, I_rel
15.71, 100
16.48, 93
17.74, 65
22.84, 44
23.78, 64
24.30, 56
29.07, 79
40.36, 31
41.34, 28
43.00, 35

Record 5
Theoretical X-ray diffraction stick pattern
Compound: PtRh2N10Cl10
Radiation: Cu Kα (weighted mean of Kα1 and Kα2)
Structure: a crystal structure in the Materials Project, relaxed with GGA-PBE
No peak broadening, texture or thermal motion is included.

Structural model:
```
PtRh2N10Cl10
1.0
5.410 -4.061 0.000
5.410 4.061 0.000
-0.877 0.000 10.870
Pt Rh N Cl
1 2 10 10
direct
0.000 0.000 0.000
0.332 0.332 0.706
0.668 0.668 0.294
0.115 0.439 0.808
0.198 0.561 0.571
0.439 0.115 0.808
0.439 0.802 0.429
0.495 0.495 0.243
0.505 0.505 0.757
0.561 0.198 0.571
0.561 0.885 0.192
0.802 0.439 0.429
0.885 0.561 0.192
0.045 0.045 0.213
0.154 0.154 0.568
0.212 0.212 0.977
0.287 0.713 0.000
0.387 0.387 0.335
0.613 0.613 0.665
0.713 0.287 0.000
0.788 0.788 0.023
0.846 0.846 0.432
0.955 0.955 0.787
```

Most intense lines, 2θ = 15–90°, low angle first:
two_theta, I_rel
16.25, 100
17.76, 35
20.81, 43
21.88, 61
24.57, 18
27.13, 20
33.14, 14
34.93, 18
37.76, 15
38.32, 14

Record 6
Theoretical X-ray diffraction stick pattern
Compound: PtS4N3Cl
Radiation: Cu Kα (weighted mean of Kα1 and Kα2)
Structure: a crystal structure in the Materials Project, relaxed with GGA-PBE
No peak broadening, texture or thermal motion is included.

Structural model:
```
PtS4N3Cl
1.0
11.424 0.000 0.000
0.000 13.827 0.000
0.000 0.000 5.478
Pt S N Cl
4 16 12 4
direct
0.172 0.250 0.018
0.328 0.750 0.518
0.672 0.250 0.482
0.828 0.750 0.982
0.009 0.143 0.402
0.009 0.357 0.402
0.169 0.087 0.033
0.169 0.413 0.033
0.331 0.587 0.533
0.331 0.913 0.533
0.491 0.643 0.902
0.491 0.857 0.902
0.509 0.143 0.098
0.509 0.357 0.098
0.669 0.087 0.467
0.669 0.413 0.467
0.831 0.587 0.967
0.831 0.913 0.967
0.991 0.643 0.598
0.991 0.857 0.598
0.054 0.250 0.285
0.076 0.064 0.252
0.076 0.436 0.252
0.424 0.564 0.752
0.424 0.936 0.752
0.446 0.750 0.785
0.554 0.250 0.215
0.576 0.064 0.248
0.576 0.436 0.248
0.924 0.564 0.748
0.924 0.936 0.748
0.946 0.750 0.715
0.187 0.750 0.210
0.313 0.250 0.710
0.687 0.750 0.290
0.813 0.250 0.790
```

Most intense lines, 2θ = 15–90°, low angle first:
two_theta, I_rel
16.79, 69
19.08, 100
26.45, 13
28.55, 56
31.40, 28
36.98, 22
37.26, 18
43.38, 20
46.40, 17
49.69, 14

Record 7
Theoretical X-ray diffraction stick pattern
Compound: SnPtN4Cl6
Radiation: Cu Kα (weighted mean of Kα1 and Kα2)
Structure: a crystal structure in the Materials Project, relaxed with GGA-PBE
No peak broadening, texture or thermal motion is included.

Structural model:
```
SnPtN4Cl6
1.0
4.858 -5.838 0.000
4.858 5.838 0.000
0.000 0.000 12.265
Sn Pt N Cl
2 2 8 12
direct
0.000 0.000 0.000
0.500 0.500 0.500
0.000 0.000 0.500
0.500 0.500 0.000
0.103 0.147 0.378
0.147 0.103 0.622
0.353 0.397 0.122
0.397 0.353 0.878
0.603 0.647 0.122
0.647 0.603 0.878
0.853 0.897 0.378
0.897 0.853 0.622
0.131 0.323 0.107
0.174 0.826 0.114
0.177 0.369 0.393
0.323 0.131 0.893
0.326 0.674 0.614
0.369 0.177 0.607
0.631 0.823 0.393
0.674 0.326 0.386
0.677 0.869 0.107
0.823 0.631 0.607
0.826 0.174 0.886
0.869 0.677 0.893
```

Most intense lines, 2θ = 15–90°, low angle first:
two_theta, I_rel
15.18, 100
18.26, 25
21.01, 66
23.36, 42
23.83, 22
27.97, 56
34.59, 25
35.89, 25
37.96, 48
38.87, 30

Record 8
Theoretical X-ray diffraction stick pattern
Compound: ReRu2N10Cl10
Radiation: Cu Kα (weighted mean of Kα1 and Kα2)
Structure: a crystal structure in the Materials Project, relaxed with GGA-PBE
No peak broadening, texture or thermal motion is included.

Structural model:
```
ReRu2N10Cl10
1.0
6.248 -3.992 0.000
6.248 3.992 0.000
-2.824 0.000 12.804
Re Ru N Cl
1 2 10 10
direct
0.000 0.000 0.000
0.408 0.408 0.678
0.592 0.592 0.322
0.187 0.327 0.788
0.192 0.539 0.603
0.327 0.187 0.788
0.443 0.443 0.283
0.461 0.808 0.397
0.539 0.192 0.603
0.557 0.557 0.717
0.673 0.813 0.212
0.808 0.461 0.397
0.813 0.673 0.212
0.022 0.022 0.181
0.079 0.079 0.534
0.189 0.189 0.022
0.292 0.708 0.000
0.327 0.327 0.316
0.673 0.673 0.684
0.708 0.292 0.000
0.811 0.811 0.978
0.921 0.921 0.466
0.978 0.978 0.819
```

Most intense lines, 2θ = 15–90°, low angle first:
two_theta, I_rel
15.67, 92
18.02, 100
20.31, 33
20.81, 42
22.26, 87
24.56, 22
28.58, 42
30.64, 22
36.03, 36
36.53, 21